Starting from a structure optimized by DFT (GGA+U), the XRD peak list of SrTlVF6 was computed for Cu Ka.

Cell and atoms:
```
data_SrTlVF6
_space_group_name_H-M_alt 'P 3'
_space_group_IT_number 143
_cell_length_a 5.8938
_cell_length_b 5.8938
_cell_length_c 4.5964
_cell_angle_alpha 90.00
_cell_angle_beta 90.00
_cell_angle_gamma 120.00
loop_
_space_group_symop_operation_xyz
'x,y,z'
'-y,x-y,z'
'-x+y,-x,z'
loop_
_atom_site_label
_atom_site_fract_x
_atom_site_fract_y
_atom_site_fract_z
Sr1 0.0000 0.0000 0.0000
Tl1 0.6667 0.3333 0.3898
V1 0.3333 0.6667 0.6425
F1 0.0232 0.4353 0.8832
F2 0.1227 0.7893 0.4194
```

Peak list (6 most intense, 2θ from 10° to 90°, by intensity)
(hkl)  2theta  I (rel.)
1 0 1  26.09  100
0 2 1  40.43  62
1 1 0  30.33  53
3 -1 1  51.36  32
1 0 0  17.37  29
0 1 2  43.17  24